# 1
Simulated powder XRD pattern
Compound: NpPb2Se2O2
Radiation: λ = 1.5418 Å (Cu Kα)
Structure: the PBE geometry in Alexandria
No peak broadening, texture or thermal motion is included.

Peak list (12 most intense, 15° ≤ 2θ ≤ 90°, low angle first)
2θ/deg, I_rel, index
22.92, 19, 1 1 0
24.01, 37, 2 0 -2
29.10, 100, 1 1 1
29.35, 52, 4 0 -1
30.62, 25, 3 1 -1
32.74, 32, 1 1 -2
34.12, 47, 3 1 -2
43.34, 24, 0 2 0
44.43, 22, 1 1 -3
48.48, 29, 5 1 0
53.20, 20, 4 2 -1
67.60, 22, 3 1 -5

Unit cell a=12.2598 b=4.1759 c=7.4553 alpha=90.00 beta=120.97 gamma=90.00
Space group C2/m (No. 12)
Unique sites:
Np 0.0000 0.0000 0.0000 (multiplicity 2)
Pb 0.1987 0.0000 0.7143 (multiplicity 4)
Se 0.0703 0.5000 0.3201 (multiplicity 4)
O 0.1821 0.0000 0.0727 (multiplicity 4)



# 2
Simulated powder XRD pattern
Compound: SmEr15Tm4
Radiation: λ = 1.5418 Å (Cu Kα)
Structure: the PBE geometry in Alexandria
No peak broadening, texture or thermal motion is included.

Peak list (9 most intense, 15° ≤ 2θ ≤ 90°, low angle first)
2θ/deg, I_rel, index
31.24, 100, 1 1 5
36.22, 51, 2 0 0
52.16, 36, 2 2 0
62.07, 43, 3 1 5
65.16, 12, 2 2 10
76.89, 6, 4 0 0
85.31, 18, 3 3 5
88.06, 6, 2 0 20
88.09, 11, 4 2 0

Unit cell a=4.9589 b=4.9589 c=24.8039 alpha=90.00 beta=90.00 gamma=90.00
Space group P4/mmm (No. 123)
Unique sites:
Sm 0.0000 0.0000 0.0000 (multiplicity 1)
Er 0.0000 0.5000 0.1015 (multiplicity 4)
Er 0.0000 0.5000 0.3007 (multiplicity 4)
Er 0.0000 0.5000 0.5000 (multiplicity 2)
Er 0.5000 0.5000 0.0000 (multiplicity 1)
Er 0.5000 0.5000 0.2014 (multiplicity 2)
Er 0.5000 0.5000 0.4003 (multiplicity 2)
Tm 0.0000 0.0000 0.2009 (multiplicity 2)
Tm 0.0000 0.0000 0.4004 (multiplicity 2)



# 3
Simulated powder XRD pattern
Compound: TmGaAs2O8
Radiation: λ = 1.5418 Å (Cu Kα)
Structure: the PBE geometry in Alexandria
No peak broadening, texture or thermal motion is included.

Peak list (12 most intense, 15° ≤ 2θ ≤ 90°, low angle first)
2θ/deg, I_rel, index
19.29, 18, 1 0 1
25.89, 100, 2 0 0
34.35, 70, 1 1 2
36.94, 21, 2 2 0
51.32, 61, 3 1 2
53.23, 16, 4 0 0
60.12, 14, 4 2 0
64.90, 18, 3 3 2
66.24, 13, 2 0 4
77.09, 13, 5 1 2
88.70, 12, 5 3 2
89.92, 11, 4 2 4

Unit cell a=6.8828 b=6.8828 c=6.1877 alpha=90.00 beta=90.00 gamma=90.00
Space group I-4m2 (No. 119)
Unique sites:
Tm 0.0000 0.0000 0.0000 (multiplicity 2)
Ga 0.0000 0.5000 0.7500 (multiplicity 2)
As 0.0000 0.0000 0.5000 (multiplicity 2)
As 0.0000 0.5000 0.2500 (multiplicity 2)
O 0.0000 0.1894 0.6839 (multiplicity 8)
O 0.0000 0.3194 0.0592 (multiplicity 8)



# 4
Simulated powder XRD pattern
Compound: Zr6Ga2NiH10
Radiation: λ = 1.5418 Å (Cu Kα)
Structure: the PBE geometry in Alexandria
No peak broadening, texture or thermal motion is included.

Peak list (12 most intense, 15° ≤ 2θ ≤ 90°, low angle first)
2θ/deg, I_rel, index
33.35, 100, 1 1 2
34.15, 52, 2 1 0
35.84, 61, 2 0 2
36.40, 21, 2 1 1
38.89, 49, 3 0 0
39.55, 9, 1 0 3
42.54, 28, 2 1 2
50.44, 15, 0 0 4
62.32, 16, 2 1 4
63.82, 29, 3 2 2
65.47, 13, 3 0 4
81.62, 8, 5 1 2

Unit cell a=8.0216 b=8.0216 c=7.2369 alpha=90.00 beta=90.00 gamma=120.00
Space group P-62c (No. 190)
Unique sites:
Zr 0.0000 0.7360 0.0000 (multiplicity 6)
Zr 0.0454 0.4186 0.2500 (multiplicity 6)
Ga 0.3333 0.6667 0.5465 (multiplicity 4)
Ni 0.0000 0.0000 0.2500 (multiplicity 2)
H 0.0000 0.0000 0.0000 (multiplicity 2)
H 0.0000 0.2770 0.0000 (multiplicity 6)
H 0.1111 0.7045 0.2500 (multiplicity 6)
H 0.1192 0.8771 0.7500 (multiplicity 6)